For Ac5SnTe5, DFT lattice parameters and positions (PBE) gives the computed X-ray powder pattern in this record (Cu Kα, 1.54184 Å).
Intensities are scaled so that the largest is 100.

Structure:
a = 15.1103 Å, b = 6.7179 Å, c = 9.5269 Å
α = 90.00°, β = 108.39°, γ = 90.00°
Space group C2/m (No. 12)
Inequivalent atoms, fractional coordinates:
Ac: 0.0000 0.0000 0.0000 x2
Ac: 0.1598 0.5000 0.8293 x4
Ac: 0.1622 0.5000 0.3307 x4
Sn: 0.0000 0.5000 0.0000 x2
Te: 0.0000 0.5000 0.5000 x2
Te: 0.1698 0.0000 0.3342 x4
Te: 0.1699 0.0000 0.8365 x4

Principal peaks in the range 10° ≤ 2θ ≤ 90°, in order of falling intensity:
26.42 deg, I 100, hkl 2 0 2; 37.79 deg, I 98, hkl 2 0 -4; 26.54 deg, I 50, hkl 0 2 0; 61.52 deg, I 29, hkl 6 0 -6; 46.76 deg, I 22, hkl 2 2 -4; 46.64 deg, I 22, hkl 6 2 0; 68.23 deg, I 21, hkl 6 2 -6; 37.64 deg, I 19, hkl 6 0 0; 61.69 deg, I 19, hkl 2 4 2; 54.39 deg, I 14, hkl 8 0 -4

For Hf2NbTl2, DFT lattice parameters and positions (PBE) gives the computed X-ray powder pattern in this record (Cu Kα, 1.54184 Å).
Intensities are scaled so that the largest is 100.

Structure:
a = 7.5810 Å, b = 7.5810 Å, c = 3.8498 Å
α = 90.00°, β = 90.00°, γ = 90.00°
Space group P4/mbm (No. 127)
Inequivalent atoms, fractional coordinates:
Hf: 0.1720 0.3280 0.0000 x4
Nb: 0.0000 0.0000 0.5000 x2
Tl: 0.1348 0.6348 0.5000 x4

Principal peaks in the range 10° ≤ 2θ ≤ 90°, in order of falling intensity:
35.27 deg, I 100, hkl 2 1 1; 37.52 deg, I 32, hkl 3 1 0; 61.81 deg, I 15, hkl 3 1 2; 71.34 deg, I 14, hkl 5 2 1; 47.22 deg, I 13, hkl 0 0 2; 16.54 deg, I 12, hkl 1 1 0; 55.37 deg, I 12, hkl 4 1 1; 33.17 deg, I 11, hkl 2 0 1; 79.93 deg, I 10, hkl 2 1 3; 51.12 deg, I 8, hkl 3 3 0

For Th2Zr5Bi3H2, DFT lattice parameters and positions (PBE) gives the computed X-ray powder pattern in this record (Cu Kα, 1.54184 Å).
Intensities are scaled so that the largest is 100.

Structure:
a = 4.4834 Å, b = 4.4834 Å, c = 26.2063 Å
α = 90.00°, β = 90.00°, γ = 90.00°
Space group I4/mmm (No. 139)
Inequivalent atoms, fractional coordinates:
Th: 0.0000 0.0000 0.2011 x4
Zr: 0.0000 0.0000 0.0000 x2
Zr: 0.0000 0.5000 0.0874 x8
Bi: 0.0000 0.0000 0.3291 x4
Bi: 0.0000 0.0000 0.5000 x2
H: 0.0000 0.0000 0.0839 x4

Principal peaks in the range 10° ≤ 2θ ≤ 90°, in order of falling intensity:
34.97 deg, I 100, hkl 1 1 6; 40.23 deg, I 56, hkl 2 0 0; 28.15 deg, I 38, hkl 1 1 0; 31.12 deg, I 37, hkl 1 0 7; 69.74 deg, I 27, hkl 3 1 6; 28.98 deg, I 24, hkl 1 1 2; 31.35 deg, I 23, hkl 1 1 4; 58.20 deg, I 19, hkl 2 2 0; 51.72 deg, I 19, hkl 2 1 7; 53.82 deg, I 17, hkl 2 0 10

For Mn6Fe5, DFT lattice parameters and positions (PBE) gives the computed X-ray powder pattern in this record (Cu Kα, 1.54184 Å).
Intensities are scaled so that the largest is 100.

Structure:
a = 3.8462 Å, b = 5.6085 Å, c = 11.5466 Å
α = 90.00°, β = 90.00°, γ = 90.00°
Space group Immm (No. 71)
Inequivalent atoms, fractional coordinates:
Mn: 0.0000 0.1995 0.0000 x4
Mn: 0.0000 0.2775 0.3510 x8
Fe: 0.0000 0.0000 0.1954 x4
Fe: 0.0000 0.0000 0.5000 x2
Fe: 0.0000 0.5000 0.1563 x4

Principal peaks in the range 10° ≤ 2θ ≤ 90°, in order of falling intensity:
46.51 deg, I 100, hkl 1 2 3; 47.25 deg, I 49, hkl 2 0 0; 42.33 deg, I 24, hkl 1 1 4; 87.38 deg, I 20, hkl 3 2 3; 69.04 deg, I 11, hkl 2 0 6; 85.75 deg, I 9, hkl 2 4 0; 49.38 deg, I 8, hkl 0 3 1; 45.83 deg, I 7, hkl 1 0 5; 66.71 deg, I 6, hkl 0 4 0; 77.11 deg, I 6, hkl 0 3 7

For KNaZrS3, DFT lattice parameters and positions (PBE) gives the computed X-ray powder pattern in this record (Cu Kα, 1.54184 Å).
Intensities are scaled so that the largest is 100.

Structure:
a = 7.0774 Å, b = 13.8533 Å, c = 6.8255 Å
α = 90.00°, β = 101.77°, γ = 90.00°
Space group C2/c (No. 15)
Inequivalent atoms, fractional coordinates:
K: 0.0000 0.2488 0.2500 x4
Na: 0.0000 0.0762 0.7500 x4
Zr: 0.0000 0.4455 0.7500 x4
S: 0.0000 0.2736 0.7500 x4
S: 0.2318 0.4583 0.5004 x8

Principal peaks in the range 10° ≤ 2θ ≤ 90°, in order of falling intensity:
14.29 deg, I 100, hkl 1 1 0; 28.07 deg, I 84, hkl 1 3 1; 33.24 deg, I 66, hkl 2 0 -2; 25.72 deg, I 58, hkl 2 0 0; 12.78 deg, I 53, hkl 0 2 0; 41.19 deg, I 35, hkl 2 0 2; 38.44 deg, I 32, hkl 1 5 1; 26.68 deg, I 28, hkl 0 0 2; 43.43 deg, I 23, hkl 3 3 -1; 18.45 deg, I 22, hkl 0 2 1

For Pm7Pt5, DFT lattice parameters and positions (PBE) gives the computed X-ray powder pattern in this record (Cu Kα, 1.54184 Å).
Intensities are scaled so that the largest is 100.

Structure:
a = 13.7559 Å, b = 4.0453 Å, c = 12.3941 Å
α = 90.00°, β = 104.01°, γ = 90.00°
Space group C2/m (No. 12)
Inequivalent atoms, fractional coordinates:
Pm: 0.0000 0.0000 0.0000 x2
Pm: 0.0403 0.5000 0.2832 x4
Pm: 0.1556 0.0000 0.5470 x4
Pm: 0.2453 0.0000 0.8590 x4
Pt: 0.0000 0.5000 0.5000 x2
Pt: 0.1172 0.5000 0.9217 x4
Pt: 0.1984 0.0000 0.3135 x4

Principal peaks in the range 10° ≤ 2θ ≤ 90°, in order of falling intensity:
29.53 deg, I 100, hkl 2 0 -4; 31.14 deg, I 76, hkl 3 1 -2; 31.97 deg, I 62, hkl 3 1 1; 44.81 deg, I 48, hkl 0 2 0; 22.96 deg, I 43, hkl 2 0 -3; 22.17 deg, I 38, hkl 2 0 2; 28.62 deg, I 37, hkl 2 0 3; 39.21 deg, I 33, hkl 1 1 4; 36.53 deg, I 32, hkl 1 1 -4; 29.85 deg, I 32, hkl 3 1 0